For Na2UI6, a structure optimized by DFT (PBE) gives the theoretical X-ray powder pattern in this record (a wavelength of 1.5418 Å).
Peak positions follow from Bragg's law for the DFT cell and can differ from measured ones.

Most intense lines, 2θ = 10–90°, low angle first:
2θ/deg  I_rel  hkl
13.5  25  1 0 1
15.1  29  1 1 2
25.4  100  1 0 -5
32.9  41  2 3 2
39.3  21  0 1 -8
42.9  26  1 3 7

```
data_Na2UI6
_chemical_formula_sum 'Na6 U3 I18'
_cell_length_a 7.961
_cell_length_b 8.761
_cell_length_c 19.811
_cell_angle_alpha 85.42
_cell_angle_beta 89.92
_cell_angle_gamma 63.04
_symmetry_space_group_name_H-M 'P 1'
_symmetry_Int_Tables_number 1
_symmetry_space_group_name_Hall 'P 1'
loop_
_atom_site_label
_atom_site_type_symbol
_atom_site_fract_x
_atom_site_fract_y
_atom_site_fract_z
Na1 Na 0.000 0.000 0.000
Na2 Na 0.090 0.820 0.725
Na3 Na 0.181 0.645 0.457
Na4 Na 0.511 0.981 0.122
Na5 Na 0.669 0.665 0.334
Na6 Na 0.841 0.319 0.788
U1 U 0.090 0.823 0.227
U2 U 0.428 0.157 0.893
U3 U 0.754 0.488 0.561
I1 I 0.054 0.174 0.643
I2 I 0.121 0.479 0.815
I3 I 0.195 0.266 0.020
I4 I 0.211 0.951 0.859
I5 I 0.297 0.027 0.261
I6 I 0.318 0.712 0.101
I7 I 0.387 0.505 0.308
I8 I 0.459 0.809 0.480
I9 I 0.529 0.607 0.688
I10 I 0.547 0.291 0.528
I11 I 0.635 0.363 0.929
I12 I 0.651 0.048 0.766
I13 I 0.722 0.836 0.976
I14 I 0.793 0.142 0.147
I15 I 0.862 0.936 0.353
I16 I 0.882 0.620 0.193
I17 I 0.959 0.697 0.593
I18 I 0.986 0.380 0.435
```

For Ba5LiGaN3F5, a structure optimized by DFT (PBE) gives the theoretical X-ray powder pattern in this record (a wavelength of 1.5418 Å).
Peak positions follow from Bragg's law for the DFT cell and can differ from measured ones.

Most intense lines, 2θ = 10–90°, low angle first:
2θ/deg  I_rel  hkl
27.2  100  3 1 2
27.6  32  4 1 0
28.5  50  4 1 1
29.0  47  2 1 3
30.9  69  0 2 0
46.4  28  7 0 3

```
data_Ba5LiGaN3F5
_chemical_formula_sum 'Ba20 Li4 Ga4 N12 F20'
_cell_length_a 15.600
_cell_length_b 5.793
_cell_length_c 12.359
_cell_angle_alpha 90.00
_cell_angle_beta 90.00
_cell_angle_gamma 90.00
_symmetry_space_group_name_H-M 'P n m a'
_symmetry_Int_Tables_number 62
_symmetry_space_group_name_Hall '-P 2ac 2n'
loop_
_atom_site_label
_atom_site_type_symbol
_atom_site_fract_x
_atom_site_fract_y
_atom_site_fract_z
Ba1 Ba 0.011 0.250 0.121
Ba2 Ba 0.065 0.250 0.683
Ba3 Ba 0.157 0.750 0.469
Ba4 Ba 0.164 0.750 0.133
Ba5 Ba 0.245 0.250 0.278
Li1 Li 0.042 0.250 0.402
Ga1 Ga 0.141 0.250 0.924
N1 N 0.020 0.250 0.898
N2 N 0.184 0.250 0.073
N3 N 0.218 0.250 0.803
F1 F 0.000 0.000 0.500
F2 F 0.089 0.012 0.301
F3 F 0.093 0.750 0.686
F4 F 0.178 0.250 0.493
```